Starting from a cell relaxed with PBE, the X-ray powder pattern of CaPm2F7 was calculated for Cu Kα (λ = 1.5418 Å).
Intensities are scaled so that the largest is 100.

Structure:
```
data_CaPm2F7
_cell_length_a 4.0443
_cell_length_b 4.0443
_cell_length_c 33.5042
_cell_angle_alpha 90.00
_cell_angle_beta 90.00
_cell_angle_gamma 120.00
_symmetry_space_group_name_H-M 'R -3 m'
_symmetry_Int_Tables_number 166
_symmetry_space_group_name_Hall '-R 3 2"'
loop_
_atom_site_label
_atom_site_fract_x
_atom_site_fract_y
_atom_site_fract_z
Ca1 0.0000 0.0000 0.0000
Pm1 0.0000 0.0000 0.4325
F1 0.0000 0.0000 0.0688
F2 0.0000 0.0000 0.2261
F3 0.0000 0.0000 0.3571
F4 0.0000 0.0000 0.5000
```

Main lines, sorted by position (15° ≤ 2θ ≤ 90°):
hkl  Position (°2θ)  I/Imax
0 0 6  15.9  86.6
0 0 9  23.9  54.2
1 0 1  25.6  95.9
0 1 2  26.0  100.0
1 1 0  44.8  88.8
0 1 14  45.9  69.7

Starting from a cell relaxed with PBE, the X-ray powder pattern of CaPm2F11 was calculated for Cu Kα (λ = 1.5418 Å).
Intensities are scaled so that the largest is 100.

Structure:
```
data_CaPm2F11
_cell_length_a 8.807
_cell_length_b 10.056
_cell_length_c 11.851
_cell_angle_alpha 90.00
_cell_angle_beta 90.00
_cell_angle_gamma 90.00
_symmetry_space_group_name_H-M 'I b a m'
_symmetry_Int_Tables_number 72
_symmetry_space_group_name_Hall '-I 2 2c'
loop_
_atom_site_label
_atom_site_fract_x
_atom_site_fract_y
_atom_site_fract_z
Ca1 0.000 0.000 0.250
Pm1 0.167 0.310 0.000
F1 0.000 0.500 0.000
F2 0.098 0.298 0.500
F3 0.121 0.168 0.145
F4 0.200 0.067 0.371
```

Main lines, sorted by position (15° ≤ 2θ ≤ 90°):
hkl  Position (°2θ)  I/Imax
1 1 2  20.1  38.2
1 2 1  21.7  40.1
0 2 2  23.3  100.0
3 3 2  43.7  25.6
1 4 3  43.9  26.6
3 1 4  44.3  17.7

Starting from a cell relaxed with PBE, the X-ray powder pattern of Ca9PrF20 was calculated for Cu Kα (λ = 1.5418 Å).
Intensities are scaled so that the largest is 100.

Structure:
```
data_Ca9PrF20
_cell_length_a 7.843
_cell_length_b 8.816
_cell_length_c 13.023
_cell_angle_alpha 101.76
_cell_angle_beta 90.44
_cell_angle_gamma 103.02
_symmetry_space_group_name_H-M 'P -1'
_symmetry_Int_Tables_number 2
loop_
_symmetry_equiv_pos_as_xyz
'x,y,z'
'-x,-y,-z'
loop_
_atom_site_label
_atom_site_fract_x
_atom_site_fract_y
_atom_site_fract_z
Ca1 0.025 0.103 0.150
Ca2 0.072 0.298 0.456
Ca3 0.123 0.503 0.753
Ca4 0.169 0.696 0.047
Ca5 0.224 0.909 0.351
Ca6 0.273 0.100 0.651
Ca7 0.315 0.297 0.954
Ca8 0.423 0.701 0.550
Ca9 0.472 0.910 0.852
Pr1 0.365 0.497 0.244
F1 0.011 0.051 0.328
F2 0.034 0.144 0.973
F3 0.065 0.249 0.626
F4 0.082 0.345 0.287
F5 0.117 0.448 0.922
F6 0.140 0.551 0.574
F7 0.161 0.665 0.232
F8 0.193 0.754 0.873
F9 0.213 0.852 0.524
F10 0.236 0.950 0.176
F11 0.259 0.053 0.824
F12 0.290 0.153 0.477
F13 0.323 0.236 0.125
F14 0.337 0.349 0.777
F15 0.361 0.449 0.426
F16 0.402 0.561 0.071
F17 0.413 0.654 0.726
F18 0.434 0.754 0.375
F19 0.461 0.851 0.025
F20 0.485 0.950 0.674
```

Main lines, sorted by position (15° ≤ 2θ ≤ 90°):
hkl  Position (°2θ)  I/Imax
0 2 2  27.8  100.0
2 2 -5  46.1  33.8
2 -3 5  46.3  17.0
2 3 1  46.3  49.8
2 4 -3  54.7  16.6
4 5 -4  85.5  14.3